1.
LiThHg6: theoretical powder diffraction line list (copper Kα), based on DFT lattice parameters and positions (PBE).

Structural model:
```
data_LiThHg6
_chemical_formula_sum 'Li1 Th1 Hg6'
_cell_length_a 4.680
_cell_length_b 4.680
_cell_length_c 8.822
_cell_angle_alpha 90.00
_cell_angle_beta 90.00
_cell_angle_gamma 90.00
_symmetry_space_group_name_H-M 'P 4/m m m'
_symmetry_Int_Tables_number 123
_symmetry_space_group_name_Hall '-P 4 2'
loop_
_atom_site_label
_atom_site_fract_x
_atom_site_fract_y
_atom_site_fract_z
_atom_site_occupancy
Li1 0.000 0.000 0.000 1
Th1 0.000 0.000 0.500 1
Hg1 0.000 0.500 0.235 1
Hg2 0.500 0.500 0.000 1
Hg3 0.500 0.500 0.500 1
```

Most intense lines, 2θ = 10–90°, in order of falling intensity:
d [Å], intensity, (hkl)
2.647, 100.0, 1 1 2
2.340, 36.3, 2 0 0
1.403, 29.4, 3 1 2
1.605, 21.3, 2 0 4
2.206, 14.1, 0 0 4
1.655, 12.7, 2 2 0
1.324, 11.4, 2 2 4
1.344, 10.7, 1 1 6
4.134, 7.2, 1 0 1
3.098, 6.5, 1 1 1

=====

2.
Cs2LaCe2O7: theoretical powder diffraction line list (copper Kα), based on DFT lattice parameters and positions (PBE).

Structural model:
```
data_Cs2LaCe2O7
_chemical_formula_sum 'Cs4 La2 Ce4 O14'
_cell_length_a 4.374
_cell_length_b 4.374
_cell_length_c 24.431
_cell_angle_alpha 90.00
_cell_angle_beta 90.00
_cell_angle_gamma 90.00
_symmetry_space_group_name_H-M 'I 4/m m m'
_symmetry_Int_Tables_number 139
_symmetry_space_group_name_Hall '-I 4 2'
loop_
_atom_site_label
_atom_site_fract_x
_atom_site_fract_y
_atom_site_fract_z
_atom_site_occupancy
Cs1 0.000 0.000 0.195 1
La1 0.000 0.000 0.000 1
Ce1 0.000 0.000 0.409 1
O1 0.000 0.000 0.323 1
O2 0.000 0.000 0.500 1
O3 0.000 0.500 0.067 1
```

Most intense lines, 2θ = 10–90°, in order of falling intensity:
d [Å], intensity, (hkl)
3.259, 100.0, 1 0 5
3.093, 49.7, 1 1 0
1.816, 38.0, 2 1 5
2.187, 26.8, 2 0 0
1.917, 25.2, 1 1 10
1.630, 12.6, 2 0 10
2.443, 10.9, 0 0 10
1.204, 10.7, 3 1 10
1.177, 9.5, 3 2 5
1.383, 8.8, 3 1 0

=====

3.
Mn2CrRu5: theoretical powder diffraction line list (copper Kα), based on DFT lattice parameters and positions (PBE).

Structural model:
```
data_Mn2CrRu5
_chemical_formula_sum 'Mn4 Cr2 Ru10'
_cell_length_a 8.476
_cell_length_b 5.390
_cell_length_c 6.247
_cell_angle_alpha 90.00
_cell_angle_beta 132.53
_cell_angle_gamma 90.00
_symmetry_space_group_name_H-M 'C 1 m 1'
_symmetry_Int_Tables_number 8
_symmetry_space_group_name_Hall 'C -2y'
loop_
_atom_site_label
_atom_site_fract_x
_atom_site_fract_y
_atom_site_fract_z
_atom_site_occupancy
Mn1 0.000 0.000 0.000 1
Mn2 0.081 0.500 0.667 1
Cr1 0.079 0.000 0.667 1
Ru1 0.254 0.251 0.513 1
Ru2 0.328 0.250 0.159 1
Ru3 0.497 0.000 0.996 1
```

Most intense lines, 2θ = 10–90°, in order of falling intensity:
d [Å], intensity, (hkl)
2.039, 100.0, 2 2 0
2.119, 36.1, 4 0 -2
2.326, 21.4, 0 2 1
2.025, 21.3, 2 0 1
2.020, 21.2, 2 0 -3
1.333, 14.8, 0 2 3
2.302, 14.8, 0 0 2
1.206, 12.1, 6 2 -4
1.121, 11.9, 2 4 1
3.118, 9.4, 2 0 -2

=====

4.
In6CuHg3: theoretical powder diffraction line list (copper Kα), based on DFT lattice parameters and positions (PBE).

Structural model:
```
data_In6CuHg3
_chemical_formula_sum 'In12 Cu2 Hg6'
_cell_length_a 7.400
_cell_length_b 7.534
_cell_length_c 10.686
_cell_angle_alpha 90.00
_cell_angle_beta 114.93
_cell_angle_gamma 90.00
_symmetry_space_group_name_H-M 'P 1 21/c 1'
_symmetry_Int_Tables_number 14
_symmetry_space_group_name_Hall '-P 2ybc'
loop_
_atom_site_label
_atom_site_fract_x
_atom_site_fract_y
_atom_site_fract_z
_atom_site_occupancy
In1 0.068 0.044 0.264 1
In2 0.156 0.678 0.050 1
In3 0.347 0.133 0.032 1
Cu1 0.000 0.000 0.000 1
Hg1 0.380 0.128 0.759 1
Hg2 0.500 0.000 0.500 1
```

Most intense lines, 2θ = 10–90°, in order of falling intensity:
d [Å], intensity, (hkl)
2.932, 100.0, 1 2 1
2.834, 82.3, 2 1 -3
3.065, 70.4, 2 1 0
2.423, 64.9, 0 0 4
2.367, 61.6, 1 3 -1
2.585, 46.5, 1 2 -3
3.024, 41.0, 1 2 -2
2.644, 39.9, 2 1 1
2.452, 33.4, 0 2 3
3.214, 28.9, 1 1 -3

=====

5.
Al2SbPb: theoretical powder diffraction line list (copper Kα), based on DFT lattice parameters and positions (PBE).

Structural model:
```
data_Al2SbPb
_chemical_formula_sum 'Al8 Sb4 Pb4'
_cell_length_a 6.433
_cell_length_b 6.433
_cell_length_c 12.281
_cell_angle_alpha 90.00
_cell_angle_beta 90.00
_cell_angle_gamma 90.00
_symmetry_space_group_name_H-M 'I -4 2 d'
_symmetry_Int_Tables_number 122
_symmetry_space_group_name_Hall 'I -4 2bw'
loop_
_atom_site_label
_atom_site_fract_x
_atom_site_fract_y
_atom_site_fract_z
_atom_site_occupancy
Al1 0.240 0.250 0.125 1
Sb1 0.000 0.000 0.000 1
Pb1 0.000 0.000 0.500 1
```

Most intense lines, 2θ = 10–90°, in order of falling intensity:
d [Å], intensity, (hkl)
3.655, 100.0, 1 1 2
2.221, 34.9, 2 0 4
1.931, 34.8, 3 1 2
3.217, 24.3, 2 0 0
2.274, 18.7, 2 2 0
1.867, 16.7, 1 1 6
1.443, 14.2, 3 1 6
1.303, 12.7, 4 2 4
3.070, 10.8, 0 0 4
1.828, 10.0, 2 2 4

=====

6.
ZnIrPb2O6: theoretical powder diffraction line list (copper Kα), based on DFT lattice parameters and positions (PBE).

Structural model:
```
data_ZnIrPb2O6
_chemical_formula_sum 'Zn2 Ir2 Pb4 O12'
_cell_length_a 5.635
_cell_length_b 5.747
_cell_length_c 9.754
_cell_angle_alpha 90.00
_cell_angle_beta 125.10
_cell_angle_gamma 90.00
_symmetry_space_group_name_H-M 'P 1 21/c 1'
_symmetry_Int_Tables_number 14
_symmetry_space_group_name_Hall '-P 2ybc'
loop_
_atom_site_label
_atom_site_fract_x
_atom_site_fract_y
_atom_site_fract_z
_atom_site_occupancy
Zn1 0.000 0.000 0.000 1
Ir1 0.500 0.000 0.500 1
Pb1 0.238 0.042 0.747 1
O1 0.171 0.195 0.456 1
O2 0.257 0.720 0.449 1
O3 0.352 0.037 0.261 1
```

Most intense lines, 2θ = 10–90°, in order of falling intensity:
d [Å], intensity, (hkl)
2.833, 100.0, 1 1 -3
2.818, 24.8, 2 0 -2
2.873, 22.9, 0 2 0
2.012, 21.7, 2 2 -2
1.627, 16.7, 2 0 -6
1.631, 16.5, 3 1 -1
1.651, 15.2, 1 3 1
1.995, 12.4, 0 0 4
1.264, 10.6, 1 1 5
1.639, 9.9, 0 2 4

=====

7.
BaCoW4: theoretical powder diffraction line list (copper Kα), based on DFT lattice parameters and positions (PBE).

Structural model:
```
data_BaCoW4
_chemical_formula_sum 'Ba4 Co4 W16'
_cell_length_a 7.771
_cell_length_b 7.771
_cell_length_c 7.771
_cell_angle_alpha 90.00
_cell_angle_beta 90.00
_cell_angle_gamma 90.00
_symmetry_space_group_name_H-M 'F -4 3 m'
_symmetry_Int_Tables_number 216
_symmetry_space_group_name_Hall 'F -4 2 3'
loop_
_atom_site_label
_atom_site_fract_x
_atom_site_fract_y
_atom_site_fract_z
_atom_site_occupancy
Ba1 0.000 0.000 0.000 1
Co1 0.250 0.250 0.750 1
W1 0.125 0.125 0.375 1
```

Most intense lines, 2θ = 10–90°, in order of falling intensity:
d [Å], intensity, (hkl)
2.343, 100.0, 3 1 1
2.243, 62.1, 2 2 2
4.487, 36.6, 1 1 1
1.496, 32.9, 5 1 1
1.374, 31.1, 4 4 0
1.172, 24.1, 6 2 2
1.943, 16.4, 4 0 0
2.747, 11.7, 2 2 0
1.185, 11.6, 5 3 3
1.783, 9.7, 3 3 1

=====

8.
Pr4Er5Cd: theoretical powder diffraction line list (copper Kα), based on DFT lattice parameters and positions (PBE).

Structural model:
```
data_Pr4Er5Cd
_chemical_formula_sum 'Pr4 Er5 Cd1'
_cell_length_a 3.628
_cell_length_b 3.628
_cell_length_c 24.166
_cell_angle_alpha 90.00
_cell_angle_beta 90.00
_cell_angle_gamma 90.00
_symmetry_space_group_name_H-M 'P 4/m m m'
_symmetry_Int_Tables_number 123
_symmetry_space_group_name_Hall '-P 4 2'
loop_
_atom_site_label
_atom_site_fract_x
_atom_site_fract_y
_atom_site_fract_z
_atom_site_occupancy
Pr1 0.000 0.000 0.104 1
Pr2 0.000 0.000 0.314 1
Er1 0.500 0.500 0.000 1
Er2 0.500 0.500 0.209 1
Er3 0.500 0.500 0.418 1
Cd1 0.000 0.000 0.500 1
```

Most intense lines, 2θ = 10–90°, in order of falling intensity:
d [Å], intensity, (hkl)
2.902, 100.0, 1 0 5
2.566, 40.7, 1 1 0
1.538, 29.8, 2 1 5
1.759, 15.3, 1 1 10
1.814, 14.5, 2 0 0
2.417, 10.0, 0 0 10
1.559, 8.7, 1 0 14
1.451, 8.1, 2 0 10
1.855, 7.1, 1 1 9
1.182, 7.0, 2 1 14